Calculated powder diffraction line list of CdFeF4 for Cu Kα X-rays, from the PBE+U geometry in Alexandria.
Neutral-atom scattering factors, no anomalous dispersion.

Crystal structure
a b c (Å): 5.349 7.403 7.759
angles (deg): 90.00 90.00 90.00
Positions (direct):
Cd1 0.025 0.182 0.250
Cd2 0.025 0.318 0.750
Cd3 0.975 0.682 0.250
Cd4 0.975 0.818 0.750
Fe1 0.500 0.000 0.000
Fe2 0.500 0.000 0.500
Fe3 0.500 0.500 0.000
Fe4 0.500 0.500 0.500
F1 0.169 0.589 0.590
F2 0.169 0.589 0.910
F3 0.169 0.911 0.090
F4 0.169 0.911 0.410
F5 0.300 0.250 0.000
F6 0.300 0.250 0.500
F7 0.346 0.536 0.250
F8 0.346 0.964 0.750
F9 0.654 0.036 0.250
F10 0.654 0.464 0.750
F11 0.700 0.750 0.000
F12 0.700 0.750 0.500
F13 0.831 0.089 0.590
F14 0.831 0.089 0.910
F15 0.831 0.411 0.090
F16 0.831 0.411 0.410

Top 10 peaks for 5° ≤ 2θ ≤ 70°, by intensity:
d (Å), I (rel.), (hkl)
3.140, 100, 1 0 2
3.044, 61, 1 2 0
2.677, 48, 2 0 0
1.892, 39, 2 2 2
2.833, 30, 1 2 1
3.341, 26, 0 2 1
1.636, 22, 1 2 4
5.349, 22, 1 0 0
2.120, 21, 0 2 3
1.706, 21, 1 4 1